No. 1
# La2HfNiO6
Computed powder diffractogram, Cu Kα, 1.54184 Å. Input: a DFT-relaxed cell (PBE+U, the Materials Project).
No peak broadening, texture or thermal motion is included.

Most intense lines, 2θ from 10° to 90°, by angle:
two_theta, d [Å], Rel. int.
19.08, 4.653, 11
31.40, 2.849, 100
37.00, 2.430, 7
38.71, 2.326, 3
45.00, 2.015, 29
49.29, 1.849, 3
55.90, 1.645, 40
65.53, 1.425, 18
74.46, 1.274, 17
83.03, 1.163, 6

Structural model:
```
La2HfNiO6
1.0
0.000 4.029 4.029
4.029 0.000 4.029
4.029 4.029 0.000
La Hf Ni O
2 1 1 6
Direct
0.250 0.250 0.250
0.750 0.750 0.750
0.000 0.000 0.000
0.500 0.500 0.500
0.252 0.252 0.748
0.252 0.748 0.252
0.252 0.748 0.748
0.748 0.252 0.252
0.748 0.252 0.748
0.748 0.748 0.252
```



No. 2
# HfMg14NiO16
Computed powder diffractogram, Cu Kα, 1.54184 Å. Input: a DFT-relaxed cell (PBE+U, the Materials Project).
No peak broadening, texture or thermal motion is included.

Most intense lines, 2θ from 10° to 90°, by angle:
two_theta, d [Å], Rel. int.
10.19, 8.679, 39
14.43, 6.137, 61
20.47, 4.340, 32
25.47, 3.497, 36
29.40, 3.038, 26
36.09, 2.489, 47
41.62, 2.170, 100
42.48, 2.128, 48
60.33, 1.534, 29
60.99, 1.519, 57

Structural model:
```
HfMg14NiO16
1.0
8.679 0.000 0.000
0.000 8.679 0.000
0.000 0.000 4.256
Hf Mg Ni O
1 14 1 16
Direct
0.000 0.000 0.000
0.000 0.262 0.500
0.000 0.500 0.000
0.000 0.738 0.500
0.256 0.500 0.500
0.262 0.000 0.500
0.262 0.262 0.000
0.262 0.738 0.000
0.500 0.000 0.000
0.500 0.256 0.500
0.500 0.744 0.500
0.738 0.000 0.500
0.738 0.262 0.000
0.738 0.738 0.000
0.744 0.500 0.500
0.500 0.500 0.000
0.000 0.000 0.500
0.000 0.247 0.000
0.000 0.500 0.500
0.000 0.753 0.000
0.232 0.500 0.000
0.247 0.000 0.000
0.250 0.250 0.500
0.250 0.750 0.500
0.500 0.000 0.500
0.500 0.232 0.000
0.500 0.500 0.500
0.500 0.768 0.000
0.750 0.250 0.500
0.750 0.750 0.500
0.753 0.000 0.000
0.768 0.500 0.000
```



No. 3
# HfMg6NiO8
Computed powder diffractogram, Cu Kα, 1.54184 Å. Input: a DFT-relaxed cell (PBE+U, the Materials Project).
No peak broadening, texture or thermal motion is included.

Most intense lines, 2θ from 10° to 90°, by angle:
two_theta, d [Å], Rel. int.
19.48, 4.558, 50
23.07, 3.856, 49
29.69, 3.009, 35
31.31, 2.857, 63
35.76, 2.511, 83
39.54, 2.279, 60
42.49, 2.128, 100
59.43, 1.555, 65
61.65, 1.504, 30
75.76, 1.256, 30

Structural model:
```
HfMg6NiO8
1.0
4.255 0.000 0.000
0.000 4.255 0.000
0.000 0.000 9.116
Hf Mg Ni O
1 6 1 8
Direct
0.000 0.000 0.000
0.000 0.000 0.500
0.000 0.500 0.262
0.000 0.500 0.738
0.500 0.000 0.262
0.500 0.000 0.738
0.500 0.500 0.500
0.500 0.500 0.000
0.000 0.000 0.248
0.000 0.000 0.752
0.000 0.500 0.000
0.000 0.500 0.500
0.500 0.000 0.000
0.500 0.000 0.500
0.500 0.500 0.275
0.500 0.500 0.725
```



No. 4
# HfMg14NiO16
Computed powder diffractogram, Cu Kα, 1.54184 Å. Input: a DFT-relaxed cell (PBE+U, the Materials Project).
No peak broadening, texture or thermal motion is included.

Most intense lines, 2θ from 10° to 90°, by angle:
two_theta, d [Å], Rel. int.
10.28, 8.601, 100
22.71, 3.915, 37
36.02, 2.493, 74
41.05, 2.199, 81
42.02, 2.150, 77
42.42, 2.131, 82
60.19, 1.537, 46
60.51, 1.530, 45
61.24, 1.514, 44
76.39, 1.247, 44

Structural model:
```
HfMg14NiO16
1.0
4.262 0.000 0.000
0.000 8.601 0.000
0.000 0.000 8.795
Hf Mg Ni O
1 14 1 16
Direct
0.000 0.000 0.000
0.000 0.253 0.261
0.000 0.253 0.739
0.000 0.500 0.000
0.000 0.500 0.500
0.000 0.747 0.261
0.000 0.747 0.739
0.500 0.000 0.268
0.500 0.000 0.732
0.500 0.249 0.500
0.500 0.258 0.000
0.500 0.500 0.253
0.500 0.500 0.747
0.500 0.742 0.000
0.500 0.751 0.500
0.000 0.000 0.500
0.000 0.000 0.232
0.000 0.000 0.768
0.000 0.255 0.000
0.000 0.262 0.500
0.000 0.500 0.248
0.000 0.500 0.752
0.000 0.738 0.500
0.000 0.745 0.000
0.500 0.000 0.000
0.500 0.000 0.500
0.500 0.248 0.251
0.500 0.248 0.749
0.500 0.500 0.000
0.500 0.500 0.500
0.500 0.752 0.251
0.500 0.752 0.749
```



No. 5
# HfMg6NiO8
Computed powder diffractogram, Cu Kα, 1.54184 Å. Input: a DFT-relaxed cell (PBE+U, the Materials Project).
No peak broadening, texture or thermal motion is included.

Most intense lines, 2θ from 10° to 90°, by angle:
two_theta, d [Å], Rel. int.
19.34, 4.589, 52
20.73, 4.285, 82
22.90, 3.883, 49
28.50, 3.132, 77
29.48, 3.030, 35
35.50, 2.529, 81
39.26, 2.295, 57
42.18, 2.142, 100
58.98, 1.566, 62
61.18, 1.515, 30

Structural model:
```
HfMg6NiO8
1.0
4.285 0.000 0.000
0.000 4.285 0.000
0.000 0.000 9.179
Hf Mg Ni O
1 6 1 8
Direct
0.000 0.000 0.000
0.000 0.500 0.273
0.000 0.500 0.727
0.500 0.000 0.273
0.500 0.000 0.727
0.500 0.500 0.000
0.500 0.500 0.500
0.000 0.000 0.500
0.000 0.000 0.226
0.000 0.000 0.774
0.000 0.500 0.000
0.000 0.500 0.500
0.500 0.000 0.000
0.500 0.000 0.500
0.500 0.500 0.256
0.500 0.500 0.744
```



No. 6
# HfMg14VO16
Computed powder diffractogram, Cu Kα, 1.54184 Å. Input: a DFT-relaxed cell (PBE+U, the Materials Project).
No peak broadening, texture or thermal motion is included.

Most intense lines, 2θ from 10° to 90°, by angle:
two_theta, d [Å], Rel. int.
10.23, 8.644, 36
14.49, 6.112, 36
20.54, 4.325, 27
22.99, 3.869, 28
25.21, 3.533, 22
29.20, 3.058, 23
31.02, 2.883, 19
35.97, 2.497, 30
41.77, 2.162, 100
60.56, 1.529, 58

Structural model:
```
HfMg14VO16
1.0
8.644 0.000 0.000
0.000 8.644 0.000
0.000 0.000 4.330
Hf Mg V O
1 14 1 16
Direct
0.000 0.000 0.000
0.000 0.256 0.500
0.000 0.500 0.000
0.000 0.744 0.500
0.250 0.500 0.500
0.255 0.255 0.000
0.255 0.745 0.000
0.256 0.000 0.500
0.500 0.000 0.000
0.500 0.250 0.500
0.500 0.750 0.500
0.744 0.000 0.500
0.745 0.255 0.000
0.745 0.745 0.000
0.750 0.500 0.500
0.500 0.500 0.000
0.000 0.000 0.500
0.000 0.255 0.000
0.000 0.500 0.500
0.000 0.745 0.000
0.246 0.500 0.000
0.250 0.250 0.500
0.250 0.750 0.500
0.255 0.000 0.000
0.500 0.000 0.500
0.500 0.246 0.000
0.500 0.500 0.500
0.500 0.754 0.000
0.745 0.000 0.000
0.750 0.250 0.500
0.750 0.750 0.500
0.754 0.500 0.000
```